Entry 1:
Starting from a cell relaxed with PBE, the powder XRD pattern of MgZn6Pt was computed for Cu Kα (weighted mean of Kα1 and Kα2).

Principal peaks in the range 2θ from 15° to 90°, sorted by position:
two_theta	Rel. int.
17.7	50
30.9	15
35.9	41
40.3	100
44.3	89
67.4	20
70.3	44
89.7	19

Structural model:
```
data_MgZn6Pt
_space_group_name_H-M_alt 'P m -3'
_space_group_IT_number 200
_space_group_name_Hall '-P 2 2 3'
_cell_length_a 5.0094
_cell_length_b 5.0094
_cell_length_c 5.0094
_cell_angle_alpha 90.00
_cell_angle_beta 90.00
_cell_angle_gamma 90.00
loop_
_atom_site_label
_atom_site_type_symbol
_atom_site_fract_x
_atom_site_fract_y
_atom_site_fract_z
Mg1 Mg 0.0000 0.0000 0.0000
Zn1 Zn 0.0000 0.2538 0.5000
Pt1 Pt 0.5000 0.5000 0.5000
```

=====

Entry 2:
Starting from a cell relaxed with PBE, the powder XRD pattern of AcPm5Sm3 was computed for Cu Kα (weighted mean of Kα1 and Kα2).

Principal peaks in the range 2θ from 15° to 90°, sorted by position:
two_theta	Rel. int.
28.3	60
29.5	64
29.9	100
32.2	58
36.6	27
37.5	37
50.9	21
56.2	25

Structural model:
```
data_AcPm5Sm3
_space_group_name_H-M_alt 'I m m a'
_space_group_IT_number 74
_space_group_name_Hall '-I 2b 2'
_cell_length_a 7.3696
_cell_length_b 18.1567
_cell_length_c 9.5904
_cell_angle_alpha 90.00
_cell_angle_beta 90.00
_cell_angle_gamma 90.00
loop_
_atom_site_label
_atom_site_type_symbol
_atom_site_fract_x
_atom_site_fract_y
_atom_site_fract_z
Ac1 Ac 0.0000 0.2500 0.0960
Pm1 Pm 0.0000 0.2500 0.4583
Pm2 Pm 0.2436 0.0834 0.4262
Sm1 Sm 0.0000 0.0693 0.7548
Sm2 Sm 0.2500 0.2500 0.7500
```

=====

What did the second record say?
Starting from a cell relaxed with PBE, the powder XRD pattern of AcPm5Sm3 was computed for Cu Kα (weighted mean of Kα1 and Kα2).

Principal peaks in the range 2θ from 15° to 90°, sorted by position:
two_theta	Rel. int.
28.3	60
29.5	64
29.9	100
32.2	58
36.6	27
37.5	37
50.9	21
56.2	25

Structural model:
```
data_AcPm5Sm3
_space_group_name_H-M_alt 'I m m a'
_space_group_IT_number 74
_space_group_name_Hall '-I 2b 2'
_cell_length_a 7.3696
_cell_length_b 18.1567
_cell_length_c 9.5904
_cell_angle_alpha 90.00
_cell_angle_beta 90.00
_cell_angle_gamma 90.00
loop_
_atom_site_label
_atom_site_type_symbol
_atom_site_fract_x
_atom_site_fract_y
_atom_site_fract_z
Ac1 Ac 0.0000 0.2500 0.0960
Pm1 Pm 0.0000 0.2500 0.4583
Pm2 Pm 0.2436 0.0834 0.4262
Sm1 Sm 0.0000 0.0693 0.7548
Sm2 Sm 0.2500 0.2500 0.7500
```

=====

What did the second record say?
Starting from a cell relaxed with PBE, the powder XRD pattern of AcPm5Sm3 was computed for Cu Kα (weighted mean of Kα1 and Kα2).

Principal peaks in the range 2θ from 15° to 90°, sorted by position:
two_theta	Rel. int.
28.3	60
29.5	64
29.9	100
32.2	58
36.6	27
37.5	37
50.9	21
56.2	25

Structural model:
```
data_AcPm5Sm3
_space_group_name_H-M_alt 'I m m a'
_space_group_IT_number 74
_space_group_name_Hall '-I 2b 2'
_cell_length_a 7.3696
_cell_length_b 18.1567
_cell_length_c 9.5904
_cell_angle_alpha 90.00
_cell_angle_beta 90.00
_cell_angle_gamma 90.00
loop_
_atom_site_label
_atom_site_type_symbol
_atom_site_fract_x
_atom_site_fract_y
_atom_site_fract_z
Ac1 Ac 0.0000 0.2500 0.0960
Pm1 Pm 0.0000 0.2500 0.4583
Pm2 Pm 0.2436 0.0834 0.4262
Sm1 Sm 0.0000 0.0693 0.7548
Sm2 Sm 0.2500 0.2500 0.7500
```